Starting from the PBE geometry in the Materials Project, the powder XRD pattern of HoTm3 was computed for Cu Kα X-rays.
Kinematic intensities with the Lorentz-polarization factor, no thermal factor.

Largest 10 diffraction maxima, by intensity, 2θ = 10–80°:
- 2θ 33.22, I 100
- 2θ 32.15, I 24
- 2θ 28.97, I 24
- 2θ 61.88, I 23
- 2θ 58.01, I 21
- 2θ 51.34, I 20
- 2θ 62.54, I 16
- 2θ 43.82, I 16
- 2θ 69.75, I 4
- 2θ 74.85, I 3

Structural model:
```
data_HoTm3
_cell_length_a 7.1181
_cell_length_b 7.1181
_cell_length_c 5.5679
_cell_angle_alpha 90.00
_cell_angle_beta 90.00
_cell_angle_gamma 120.00
_symmetry_space_group_name_H-M 'P 63/m m c'
_symmetry_Int_Tables_number 194
_symmetry_space_group_name_Hall '-P 6c 2c'
loop_
_atom_site_label
_atom_site_fract_x
_atom_site_fract_y
_atom_site_fract_z
Ho1 0.3333 0.6667 0.2500
Tm1 0.1664 0.3327 0.7500
```